No. 1
Diffraction record for LiCo2Se. The powder diffractogram is theoretical, not measured: it uses DFT lattice parameters and positions (PBE) and Cu Kα X-rays.

Top 12 peaks for 10 to 90 degrees two-theta, low angle first:
(0 0 1), 2θ 20.4, I = 45; (0 1 1), 2θ 28.4, I = 59; (1 0 0), 2θ 33.2, I = 47; (1 0 -1), 2θ 38.8, I = 73; (0 2 0), 2θ 39.7, I = 79; (1 1 1), 2θ 44.6, I = 100; (0 1 2), 2θ 46.2, I = 97; (1 2 0), 2θ 52.6, I = 24; (1 2 -1), 2θ 56.7, I = 44; (1 1 -2), 2θ 57.4, I = 23; (0 3 2), 2θ 76.6, I = 36; (0 4 0), 2θ 85.5, I = 20

Cell and atoms:
Cell: 2.702 4.543 4.361 Å, 90.00 91.35 90.00°
Space group P2/m (No. 10)
Symmetry-distinct sites (fractional):
Li (0.000, 0.000, 0.000) [1 per cell]
Co (0.320, 0.500, 0.240) [2 per cell]
Se (0.500, 0.000, 0.500) [1 per cell]

No. 2
Diffraction record for LiTaCoSe2. The powder diffractogram is theoretical, not measured: it uses DFT lattice parameters and positions (PBE) and Cu Kα X-rays.

Top 12 peaks for 10 to 90 degrees two-theta, low angle first:
(0 0 1), 2θ 17.5, I = 78; (1 0 0), 2θ 18.0, I = 29; (1 0 1), 2θ 25.2, I = 100; (0 0 2), 2θ 35.4, I = 31; (2 0 0), 2θ 36.4, I = 57; (2 0 1), 2θ 40.6, I = 37; (2 1 1), 2θ 44.7, I = 43; (2 0 2), 2θ 51.7, I = 41; (2 2 0), 2θ 52.4, I = 20; (2 2 1), 2θ 55.6, I = 15; (2 2 2), 2θ 64.8, I = 21; (2 1 3), 2θ 70.1, I = 11

Cell and atoms:
Cell: 4.941 4.941 5.068 Å, 90.00 90.00 90.00°
Space group P4/mmm (No. 123)
Symmetry-distinct sites (fractional):
Li (0.000, 0.000, 0.000) [1 per cell]
Ta (0.000, 0.000, 0.500) [1 per cell]
Co (0.500, 0.500, 0.000) [1 per cell]
Se (0.000, 0.500, 0.500) [2 per cell]

No. 3
Diffraction record for LiCoSn2. The powder diffractogram is theoretical, not measured: it uses DFT lattice parameters and positions (PBE) and Cu Kα X-rays.

Top 12 peaks for 10 to 90 degrees two-theta, low angle first:
(0 0 3), 2θ 17.2, I = 54; (1 0 1), 2θ 25.2, I = 51; (0 1 2), 2θ 27.1, I = 42; (1 0 4), 2θ 33.9, I = 31; (0 1 5), 2θ 38.2, I = 100; (1 1 0), 2θ 43.2, I = 72; (1 1 3), 2θ 46.8, I = 25; (2 0 5), 2θ 59.0, I = 28; (1 0 10), 2θ 65.6, I = 20; (1 2 5), 2θ 75.9, I = 28; (3 0 0), 2θ 79.2, I = 13; (0 2 10), 2θ 81.8, I = 16

Cell and atoms:
Cell: 4.1901 4.1901 15.4708 Å, 90.00 90.00 120.00°
Space group R3m (No. 160, hexagonal axes)
Symmetry-distinct sites (fractional):
Li (0.0000, 0.0000, 0.0000) [3 per cell]
Co (0.0000, 0.0000, 0.8205) [3 per cell]
Sn (0.0000, 0.0000, 0.2226) [3 per cell]
Sn (0.0000, 0.0000, 0.4283) [3 per cell]

No. 4
Diffraction record for Li5CoSn5. The powder diffractogram is theoretical, not measured: it uses DFT lattice parameters and positions (PBE) and Cu Kα X-rays.

Top 12 peaks for 10 to 90 degrees two-theta, low angle first:
(2 0 -1), 2θ 15.8, I = 47; (1 1 0), 2θ 19.2, I = 56; (4 0 0), 2θ 21.5, I = 22; (3 1 0), 2θ 24.5, I = 100; (6 0 0), 2θ 32.5, I = 22; (1 1 -2), 2θ 35.9, I = 51; (2 0 2), 2θ 37.3, I = 71; (0 2 0), 2θ 37.3, I = 40; (5 1 -2), 2θ 39.2, I = 42; (7 1 0), 2θ 42.6, I = 22; (5 1 2), 2θ 53.0, I = 33; (2 2 2), 2θ 53.8, I = 50

Cell and atoms:
Cell: 17.561 4.815 5.945 Å, 90.00 109.70 90.00°
Space group C2/m (No. 12)
Symmetry-distinct sites (fractional):
Li (0.000, 0.000, 0.000) [2 per cell]
Li (0.199, 0.500, 0.198) [4 per cell]
Li (0.207, 0.500, 0.706) [4 per cell]
Co (0.000, 0.000, 0.500) [2 per cell]
Sn (0.000, 0.500, 0.500) [2 per cell]
Sn (0.139, 0.000, 0.392) [4 per cell]
Sn (0.139, 0.000, 0.884) [4 per cell]

What is the formula in the third record? LiCoSn2